Record 1
This entry pairs a crystal structure of Na8B11C5 with its calculated powder X-ray diffraction pattern. Radiation: Cu Kα (λ = 1.5418 Å). Structure: a DFT-relaxed cell (PBE, Alexandria).

Most intense lines, 10 to 90 degrees two-theta, in order of falling intensity:
two_theta  d (Å)  I/Imax  (hkl)
42.28  2.138  100  1 2 2
40.88  2.207  49  0 2 4
42.11  2.146  38  0 4 0
63.53  1.464  17  1 0 6
36.44  2.465  17  1 0 2
79.20  1.209  17  1 4 6
77.09  1.237  13  1 6 2
34.85  2.574  12  0 0 4
81.19  1.185  10  2 2 4
56.89  1.618  9  1 4 2

Atomic structure:
```
data_Na8B11C5
_cell_length_a 2.808
_cell_length_b 8.582
_cell_length_c 10.297
_cell_angle_alpha 90.00
_cell_angle_beta 90.00
_cell_angle_gamma 90.00
_symmetry_space_group_name_H-M 'P m m 2'
_symmetry_Int_Tables_number 25
_symmetry_space_group_name_Hall 'P 2 -2'
loop_
_atom_site_label
_atom_site_type_symbol
_atom_site_fract_x
_atom_site_fract_y
_atom_site_fract_z
Na1 Na 0.000 0.247 0.000
Na2 Na 0.000 0.249 0.501
Na3 Na 0.500 0.249 0.751
Na4 Na 0.500 0.251 0.250
B1 B 0.000 0.000 0.313
B2 B 0.000 0.000 0.839
B3 B 0.000 0.500 0.169
B4 B 0.000 0.500 0.673
B5 B 0.000 0.500 0.836
B6 B 0.500 0.000 0.077
B7 B 0.500 0.000 0.425
B8 B 0.500 0.000 0.599
B9 B 0.500 0.500 0.400
B10 B 0.500 0.500 0.567
B11 B 0.500 0.500 0.941
C1 C 0.000 0.000 0.159
C2 C 0.000 0.000 0.679
C3 C 0.000 0.500 0.323
C4 C 0.500 0.000 0.919
C5 C 0.500 0.500 0.090
```


Record 2
This entry pairs a crystal structure of Sr5P3O13 with its calculated powder X-ray diffraction pattern. Radiation: Cu Kα (λ = 1.5418 Å). Structure: a DFT-relaxed cell (PBE, Alexandria).

Most intense lines, 10 to 90 degrees two-theta, in order of falling intensity:
two_theta  d (Å)  I/Imax  (hkl)
30.13  2.966  100  2 1 1
30.28  2.951  75  1 1 2
31.29  2.859  60  3 0 0
46.46  1.955  35  2 1 3
44.10  2.053  35  2 2 2
27.52  3.242  30  2 1 0
26.38  3.378  28  1 0 2
49.20  1.852  27  4 0 2
45.42  1.997  25  1 3 2
47.86  1.901  24  3 2 1

Atomic structure:
```
data_Sr5P3O13
_cell_length_a 9.9030
_cell_length_b 9.9030
_cell_length_c 7.3509
_cell_angle_alpha 90.00
_cell_angle_beta 90.00
_cell_angle_gamma 120.00
_symmetry_space_group_name_H-M 'P 63/m'
_symmetry_Int_Tables_number 176
_symmetry_space_group_name_Hall '-P 6c'
loop_
_atom_site_label
_atom_site_type_symbol
_atom_site_fract_x
_atom_site_fract_y
_atom_site_fract_z
Sr1 Sr 0.0113 0.2577 0.2500
Sr2 Sr 0.3333 0.6667 0.0001
P1 P 0.0322 0.3994 0.7500
O1 O 0.0000 0.0000 0.2500
O2 O 0.0844 0.3454 0.5784
O3 O 0.1207 0.5816 0.7500
O4 O 0.1476 0.6673 0.2500
```


Record 3
This entry pairs a crystal structure of La3YTh2N6 with its calculated powder X-ray diffraction pattern. Radiation: Cu Kα (λ = 1.5418 Å). Structure: a DFT-relaxed cell (PBE, Alexandria).

Most intense lines, 10 to 90 degrees two-theta, in order of falling intensity:
two_theta  d (Å)  I/Imax  (hkl)
29.83  2.995  100  2 0 0
34.52  2.598  97  1 3 1
29.62  3.016  36  0 0 2
49.48  1.842  34  2 0 2
49.76  1.832  34  0 6 0
58.98  1.566  31  3 3 1
61.97  1.497  17  4 0 0
58.73  1.572  16  1 3 3
59.10  1.563  15  2 6 0
82.92  1.164  15  3 3 3

Atomic structure:
```
data_La3YTh2N6
_cell_length_a 6.349
_cell_length_b 10.993
_cell_length_c 6.390
_cell_angle_alpha 90.00
_cell_angle_beta 109.28
_cell_angle_gamma 90.00
_symmetry_space_group_name_H-M 'C 1 2/m 1'
_symmetry_Int_Tables_number 12
_symmetry_space_group_name_Hall '-C 2y'
loop_
_atom_site_label
_atom_site_type_symbol
_atom_site_fract_x
_atom_site_fract_y
_atom_site_fract_z
La1 La 0.000 0.000 0.000
La2 La 0.000 0.335 0.000
Y1 Y 0.000 0.500 0.500
Th1 Th 0.000 0.167 0.500
N1 N 0.243 0.000 0.730
N2 N 0.243 0.333 0.729
```


Record 4
This entry pairs a crystal structure of YB3Rh3 with its calculated powder X-ray diffraction pattern. Radiation: Cu Kα (λ = 1.5418 Å). Structure: a DFT-relaxed cell (PBE, Alexandria).

Most intense lines, 10 to 90 degrees two-theta, in order of falling intensity:
two_theta  d (Å)  I/Imax  (hkl)
32.61  2.746  100  2 1 -1
33.23  2.696  86  2 0 2
36.34  2.473  65  2 2 2
31.33  2.855  53  0 2 2
34.63  2.590  53  1 -2 1
34.38  2.608  51  2 2 0
42.66  2.120  50  2 3 1
40.68  2.218  44  0 1 -3
43.75  2.069  44  0 3 -1
40.36  2.235  44  3 1 0

Atomic structure:
```
data_YB3Rh3
_cell_length_a 6.911
_cell_length_b 7.137
_cell_length_c 7.849
_cell_angle_alpha 76.34
_cell_angle_beta 80.11
_cell_angle_gamma 79.23
_symmetry_space_group_name_H-M 'P 1'
_symmetry_Int_Tables_number 1
_symmetry_space_group_name_Hall 'P 1'
loop_
_atom_site_label
_atom_site_type_symbol
_atom_site_fract_x
_atom_site_fract_y
_atom_site_fract_z
Y1 Y 0.000 0.000 0.000
Y2 Y 0.067 0.539 0.423
Y3 Y 0.536 0.088 0.286
Y4 Y 0.645 0.462 0.835
B1 B 0.058 0.336 0.762
B2 B 0.061 0.527 0.088
B3 B 0.064 0.893 0.560
B4 B 0.096 0.144 0.431
B5 B 0.294 0.425 0.694
B6 B 0.351 0.821 0.813
B7 B 0.461 0.690 0.283
B8 B 0.571 0.105 0.637
B9 B 0.585 0.463 0.200
B10 B 0.649 0.681 0.415
B11 B 0.788 0.838 0.841
B12 B 0.919 0.016 0.385
Rh1 Rh 0.037 0.634 0.809
Rh2 Rh 0.222 0.938 0.259
Rh3 Rh 0.244 0.301 0.969
Rh4 Rh 0.264 0.129 0.639
Rh5 Rh 0.332 0.633 0.069
Rh6 Rh 0.363 0.742 0.580
Rh7 Rh 0.512 0.973 0.914
Rh8 Rh 0.540 0.401 0.487
Rh9 Rh 0.751 0.832 0.576
Rh10 Rh 0.761 0.688 0.116
Rh11 Rh 0.857 0.143 0.669
Rh12 Rh 0.885 0.298 0.230
```


Record 5
This entry pairs a crystal structure of V3Cr7 with its calculated powder X-ray diffraction pattern. Radiation: Cu Kα (λ = 1.5418 Å). Structure: a DFT-relaxed cell (PBE, Alexandria).

Most intense lines, 10 to 90 degrees two-theta, in order of falling intensity:
two_theta  d (Å)  I/Imax  (hkl)
44.30  2.045  100  5 1 0
44.46  2.038  99  0 2 0
64.52  1.444  19  2 2 2
81.74  1.178  18  5 3 0
81.83  1.177  18  8 2 -2
64.66  1.441  9  8 0 -2
81.40  1.182  9  7 1 2
81.49  1.181  5  10 0 0
81.97  1.175  5  6 0 -4

Atomic structure:
```
data_V3Cr7
_cell_length_a 12.256
_cell_length_b 4.079
_cell_length_c 4.993
_cell_angle_alpha 90.00
_cell_angle_beta 105.48
_cell_angle_gamma 90.00
_symmetry_space_group_name_H-M 'C 1 2/m 1'
_symmetry_Int_Tables_number 12
_symmetry_space_group_name_Hall '-C 2y'
loop_
_atom_site_label
_atom_site_type_symbol
_atom_site_fract_x
_atom_site_fract_y
_atom_site_fract_z
V1 V 0.000 0.000 0.000
V2 V 0.200 0.000 0.799
Cr1 Cr 0.000 0.000 0.500
Cr2 Cr 0.099 0.500 0.898
Cr3 Cr 0.100 0.500 0.400
Cr4 Cr 0.200 0.000 0.303
```


Record 6
This entry pairs a crystal structure of Dy8Th with its calculated powder X-ray diffraction pattern. Radiation: Cu Kα (λ = 1.5418 Å). Structure: a DFT-relaxed cell (PBE, Alexandria).

Most intense lines, 10 to 90 degrees two-theta, in order of falling intensity:
two_theta  d (Å)  I/Imax  (hkl)
30.85  2.898  100  3 0 1
35.78  2.510  51  3 3 0
51.49  1.775  36  6 0 0
61.28  1.513  29  6 3 1
61.16  1.515  14  3 0 3
64.28  1.449  12  6 0 2
84.01  1.152  12  6 3 3
86.82  1.122  11  9 3 0
84.12  1.151  6  9 0 1
86.63  1.124  6  3 3 4

Atomic structure:
```
data_Dy8Th
_cell_length_a 10.640
_cell_length_b 10.640
_cell_length_c 5.028
_cell_angle_alpha 90.00
_cell_angle_beta 90.00
_cell_angle_gamma 90.00
_symmetry_space_group_name_H-M 'I 4/m m m'
_symmetry_Int_Tables_number 139
_symmetry_space_group_name_Hall '-I 4 2'
loop_
_atom_site_label
_atom_site_type_symbol
_atom_site_fract_x
_atom_site_fract_y
_atom_site_fract_z
Dy1 Dy 0.000 0.332 0.000
Dy2 Dy 0.164 0.164 0.500
Th1 Th 0.000 0.000 0.000
```


Record 7
This entry pairs a crystal structure of Tb3PrIr8 with its calculated powder X-ray diffraction pattern. Radiation: Cu Kα (λ = 1.5418 Å). Structure: a DFT-relaxed cell (PBE, Alexandria).

Most intense lines, 10 to 90 degrees two-theta, in order of falling intensity:
two_theta  d (Å)  I/Imax  (hkl)
39.93  2.258  100  0 2 1
39.20  2.298  98  1 1 2
36.24  2.479  65  1 0 3
66.66  1.403  32  0 2 5
69.70  1.349  31  2 2 0
43.90  2.062  29  2 0 2
61.31  1.512  26  2 1 3
63.36  1.468  24  0 3 2
41.16  2.193  22  0 0 4
33.20  2.698  22  1 1 0

Atomic structure:
```
data_Tb3PrIr8
_cell_length_a 5.3963
_cell_length_b 5.3963
_cell_length_c 8.7728
_cell_angle_alpha 90.00
_cell_angle_beta 90.00
_cell_angle_gamma 120.00
_symmetry_space_group_name_H-M 'P 3 m 1'
_symmetry_Int_Tables_number 156
_symmetry_space_group_name_Hall 'P 3 -2"'
loop_
_atom_site_label
_atom_site_type_symbol
_atom_site_fract_x
_atom_site_fract_y
_atom_site_fract_z
Tb1 Tb 0.0000 0.0000 0.0000
Tb2 Tb 0.0000 0.0000 0.3639
Tb3 Tb 0.3333 0.6667 0.8666
Pr1 Pr 0.3333 0.6667 0.5007
Ir1 Ir 0.0054 0.5027 0.1808
Ir2 Ir 0.3272 0.1636 0.6856
Ir3 Ir 0.6667 0.3333 0.4324
Ir4 Ir 0.6667 0.3333 0.9328
```


Record 8
This entry pairs a crystal structure of Er6Tm8Tl with its calculated powder X-ray diffraction pattern. Radiation: Cu Kα (λ = 1.5418 Å). Structure: a DFT-relaxed cell (PBE, Alexandria).

Most intense lines, 10 to 90 degrees two-theta, in order of falling intensity:
two_theta  d (Å)  I/Imax  (hkl)
33.44  2.679  100  2 -1 2
34.22  2.620  77  3 0 0
33.03  2.712  63  2 1 1
26.35  3.382  34  0 2 1
52.59  1.740  21  5 -2 1
55.32  1.661  16  0 0 4
48.60  1.873  15  2 2 2
29.20  3.058  15  0 1 2
59.28  1.559  14  1 1 4
54.25  1.691  13  0 4 2

Atomic structure:
```
data_Er6Tm8Tl
_cell_length_a 9.0767
_cell_length_b 9.0767
_cell_length_c 6.6392
_cell_angle_alpha 90.00
_cell_angle_beta 90.00
_cell_angle_gamma 120.00
_symmetry_space_group_name_H-M 'P -3'
_symmetry_Int_Tables_number 147
_symmetry_space_group_name_Hall '-P 3'
loop_
_atom_site_label
_atom_site_type_symbol
_atom_site_fract_x
_atom_site_fract_y
_atom_site_fract_z
Er1 Er 0.0815 0.6832 0.0996
Tm1 Tm 0.0201 0.3372 0.3948
Tm2 Tm 0.3333 0.6667 0.6923
Tl1 Tl 0.0000 0.0000 0.0000
```


Please write out number 7 again, unchanged.
This entry pairs a crystal structure of Tb3PrIr8 with its calculated powder X-ray diffraction pattern. Radiation: Cu Kα (λ = 1.5418 Å). Structure: a DFT-relaxed cell (PBE, Alexandria).

Most intense lines, 10 to 90 degrees two-theta, in order of falling intensity:
two_theta  d (Å)  I/Imax  (hkl)
39.93  2.258  100  0 2 1
39.20  2.298  98  1 1 2
36.24  2.479  65  1 0 3
66.66  1.403  32  0 2 5
69.70  1.349  31  2 2 0
43.90  2.062  29  2 0 2
61.31  1.512  26  2 1 3
63.36  1.468  24  0 3 2
41.16  2.193  22  0 0 4
33.20  2.698  22  1 1 0

Atomic structure:
```
data_Tb3PrIr8
_cell_length_a 5.3963
_cell_length_b 5.3963
_cell_length_c 8.7728
_cell_angle_alpha 90.00
_cell_angle_beta 90.00
_cell_angle_gamma 120.00
_symmetry_space_group_name_H-M 'P 3 m 1'
_symmetry_Int_Tables_number 156
_symmetry_space_group_name_Hall 'P 3 -2"'
loop_
_atom_site_label
_atom_site_type_symbol
_atom_site_fract_x
_atom_site_fract_y
_atom_site_fract_z
Tb1 Tb 0.0000 0.0000 0.0000
Tb2 Tb 0.0000 0.0000 0.3639
Tb3 Tb 0.3333 0.6667 0.8666
Pr1 Pr 0.3333 0.6667 0.5007
Ir1 Ir 0.0054 0.5027 0.1808
Ir2 Ir 0.3272 0.1636 0.6856
Ir3 Ir 0.6667 0.3333 0.4324
Ir4 Ir 0.6667 0.3333 0.9328
```